Record 1
Diffraction record for Rb3InAu2. The powder XRD pattern is simulated, not measured: it uses a structure optimized by DFT (PBE) and λ = 1.5418 Å (Cu Kα).
No peak broadening, texture or thermal motion is included.

Main lines, sorted by position (5 to 70 degrees two-theta):
8.01 deg, I 84, (0 0 1); 9.68 deg, I 100, (2 0 -1); 20.88 deg, I 68, (1 1 1); 26.02 deg, I 57, (1 1 2); 28.57 deg, I 37, (4 0 -4); 29.33 deg, I 70, (6 0 -1); 34.88 deg, I 81, (0 2 0); 36.56 deg, I 44, (5 1 1)

Structure:
```
data_Rb3InAu2
_chemical_formula_sum 'Rb12 In4 Au8'
_space_group_name_H-M_alt 'C 1 2/m 1'
_space_group_IT_number 12
_space_group_name_Hall '-C 2y'
_cell_length_a 19.014
_cell_length_b 5.142
_cell_length_c 12.736
_cell_angle_alpha 90.00
_cell_angle_beta 119.92
_cell_angle_gamma 90.00
loop_
_atom_site_label
_atom_site_fract_x
_atom_site_fract_y
_atom_site_fract_z
Rb1 0.051 0.000 0.236
Rb2 0.162 0.500 0.997
Rb3 0.222 0.000 0.610
In1 0.080 0.500 0.659
Au1 0.094 0.500 0.445
Au2 0.126 0.000 0.769
```

---

Record 2
Diffraction record for DyFe5C2. The powder XRD pattern is simulated, not measured: it uses a structure optimized by DFT (PBE) and λ = 1.5418 Å (Cu Kα).
No peak broadening, texture or thermal motion is included.

Main lines, sorted by position (5 to 70 degrees two-theta):
30.12 deg, I 35, (1 1 0); 35.48 deg, I 88, (0 2 2); 40.50 deg, I 100, (1 2 1); 42.47 deg, I 96, (1 0 3); 43.85 deg, I 22, (0 3 1); 52.72 deg, I 27, (0 2 4); 54.82 deg, I 24, (2 0 0); 67.01 deg, I 27, (2 2 2)

Structure:
```
data_DyFe5C2
_chemical_formula_sum 'Dy2 Fe10 C4'
_space_group_name_H-M_alt 'I m m m'
_space_group_IT_number 71
_space_group_name_Hall '-I 2 2'
_cell_length_a 3.349
_cell_length_b 6.395
_cell_length_c 8.271
_cell_angle_alpha 90.00
_cell_angle_beta 90.00
_cell_angle_gamma 90.00
loop_
_atom_site_label
_atom_site_fract_x
_atom_site_fract_y
_atom_site_fract_z
Dy1 0.000 0.000 0.000
Fe1 0.000 0.187 0.337
Fe2 0.000 0.500 0.000
C1 0.000 0.500 0.246
```

---

Record 3
Diffraction record for Sm2CuP3Rh12. The powder XRD pattern is simulated, not measured: it uses a structure optimized by DFT (PBE) and λ = 1.5418 Å (Cu Kα).
No peak broadening, texture or thermal motion is included.

Main lines, sorted by position (5 to 70 degrees two-theta):
32.19 deg, I 27, (0 1 5); 32.84 deg, I 15, (2 1 1); 34.17 deg, I 100, (0 2 4); 34.47 deg, I 27, (1 2 2); 42.69 deg, I 88, (2 2 0); 54.93 deg, I 22, (2 0 8); 55.77 deg, I 17, (4 0 4); 63.33 deg, I 16, (2 3 5)

Structure:
```
data_Sm2CuP3Rh12
_chemical_formula_sum 'Sm6 Cu3 P9 Rh36'
_space_group_name_H-M_alt 'R -3 m'
_space_group_IT_number 166
_space_group_name_Hall '-R 3 2"'
_cell_length_a 8.4729
_cell_length_b 8.4729
_cell_length_c 15.0221
_cell_angle_alpha 90.00
_cell_angle_beta 90.00
_cell_angle_gamma 120.00
loop_
_atom_site_label
_atom_site_fract_x
_atom_site_fract_y
_atom_site_fract_z
Sm1 0.0000 0.0000 0.1085
Cu1 0.0000 0.0000 0.5000
P1 0.0000 0.5000 0.0000
Rh1 0.0018 0.5009 0.8536
Rh2 0.0532 0.5266 0.3613
```

---

Record 4
Diffraction record for Sc3Co6Si2. The powder XRD pattern is simulated, not measured: it uses a structure optimized by DFT (PBE) and λ = 1.5418 Å (Cu Kα).
No peak broadening, texture or thermal motion is included.

Main lines, sorted by position (5 to 70 degrees two-theta):
14.90 deg, I 39, (1 1 0); 37.05 deg, I 7, (2 2 2); 40.14 deg, I 29, (3 2 1); 45.79 deg, I 100, (3 3 0); 48.43 deg, I 10, (4 2 0); 55.76 deg, I 6, (5 1 0); 66.77 deg, I 10, (6 0 0); 68.85 deg, I 9, (6 1 1)

Structure:
```
data_Sc3Co6Si2
_chemical_formula_sum 'Sc12 Co24 Si8'
_space_group_name_H-M_alt 'I m -3 m'
_space_group_IT_number 229
_space_group_name_Hall '-I 4 2 3'
_cell_length_a 8.406
_cell_length_b 8.406
_cell_length_c 8.406
_cell_angle_alpha 90.00
_cell_angle_beta 90.00
_cell_angle_gamma 90.00
loop_
_atom_site_label
_atom_site_fract_x
_atom_site_fract_y
_atom_site_fract_z
Sc1 0.000 0.000 0.284
Co1 0.000 0.343 0.343
Si1 0.250 0.250 0.250
```

---

Record 5
Diffraction record for AcTlBiO. The powder XRD pattern is simulated, not measured: it uses a structure optimized by DFT (PBE) and λ = 1.5418 Å (Cu Kα).
No peak broadening, texture or thermal motion is included.

Main lines, sorted by position (5 to 70 degrees two-theta):
28.27 deg, I 17, (0 0 6); 28.87 deg, I 100, (1 0 3); 34.64 deg, I 23, (1 0 5); 35.79 deg, I 39, (1 1 0); 46.22 deg, I 18, (1 1 6); 51.52 deg, I 14, (2 0 0); 59.69 deg, I 14, (1 0 11); 60.13 deg, I 27, (2 1 3)

Structure:
```
data_AcTlBiO
_chemical_formula_sum 'Ac2 Tl2 Bi2 O2'
_space_group_name_H-M_alt 'I 4 m m'
_space_group_IT_number 107
_space_group_name_Hall 'I 4 -2'
_cell_length_a 3.548
_cell_length_b 3.548
_cell_length_c 18.940
_cell_angle_alpha 90.00
_cell_angle_beta 90.00
_cell_angle_gamma 90.00
loop_
_atom_site_label
_atom_site_fract_x
_atom_site_fract_y
_atom_site_fract_z
Ac1 0.000 0.000 0.000
Tl1 0.000 0.000 0.280
Bi1 0.000 0.000 0.654
O1 0.000 0.000 0.472
```

---

Record 6
Diffraction record for La3TmPa3N8. The powder XRD pattern is simulated, not measured: it uses a structure optimized by DFT (PBE) and λ = 1.5418 Å (Cu Kα).
No peak broadening, texture or thermal motion is included.

Main lines, sorted by position (5 to 70 degrees two-theta):
14.88 deg, I 31, (0 0 3); 30.01 deg, I 37, (0 0 6); 30.89 deg, I 100, (2 0 2); 35.57 deg, I 97, (0 2 4); 50.61 deg, I 34, (2 0 8); 51.75 deg, I 33, (2 2 0); 59.96 deg, I 18, (0 2 10); 60.99 deg, I 32, (2 2 6)

Structure:
```
data_La3TmPa3N8
_chemical_formula_sum 'La9 Tm3 Pa9 N24'
_space_group_name_H-M_alt 'R -3 m'
_space_group_IT_number 166
_space_group_name_Hall '-R 3 2"'
_cell_length_a 7.0657
_cell_length_b 7.0657
_cell_length_c 17.8646
_cell_angle_alpha 90.00
_cell_angle_beta 90.00
_cell_angle_gamma 120.00
loop_
_atom_site_label
_atom_site_fract_x
_atom_site_fract_y
_atom_site_fract_z
La1 0.0000 0.5000 0.0000
Tm1 0.0000 0.0000 0.5000
Pa1 0.0000 0.5000 0.5000
N1 0.0000 0.0000 0.2369
N2 0.0015 0.5008 0.7684
```

---

Record 7
Diffraction record for Cd7Hg3. The powder XRD pattern is simulated, not measured: it uses a structure optimized by DFT (PBE) and λ = 1.5418 Å (Cu Kα).
No peak broadening, texture or thermal motion is included.

Main lines, sorted by position (5 to 70 degrees two-theta):
31.49 deg, I 100, (1 1 -2); 37.73 deg, I 32, (2 0 1); 37.86 deg, I 61, (1 1 3); 38.05 deg, I 30, (0 0 5); 45.08 deg, I 19, (0 2 0); 45.18 deg, I 18, (2 0 -4); 60.17 deg, I 30, (2 2 1); 60.42 deg, I 16, (0 2 5)

Structure:
```
data_Cd7Hg3
_chemical_formula_sum 'Cd7 Hg3'
_space_group_name_H-M_alt 'P 1 m 1'
_space_group_IT_number 6
_space_group_name_Hall 'P -2y'
_cell_length_a 5.000
_cell_length_b 4.022
_cell_length_c 11.886
_cell_angle_alpha 90.00
_cell_angle_beta 95.90
_cell_angle_gamma 90.00
loop_
_atom_site_label
_atom_site_fract_x
_atom_site_fract_y
_atom_site_fract_z
Cd1 0.000 0.000 0.000
Cd2 0.086 0.500 0.803
Cd3 0.403 0.000 0.198
Cd4 0.496 0.500 0.998
Cd5 0.593 0.000 0.802
Cd6 0.690 0.500 0.602
Cd7 0.808 0.000 0.399
Hg1 0.185 0.000 0.605
Hg2 0.315 0.500 0.397
Hg3 0.896 0.500 0.198
```

---

Record 8
Diffraction record for Pr6In3Ag. The powder XRD pattern is simulated, not measured: it uses a structure optimized by DFT (PBE) and λ = 1.5418 Å (Cu Kα).
No peak broadening, texture or thermal motion is included.

Main lines, sorted by position (5 to 70 degrees two-theta):
28.81 deg, I 76, (1 1 2); 28.87 deg, I 39, (1 1 -4); 32.62 deg, I 100, (1 3 -1); 32.88 deg, I 49, (2 0 -2); 34.83 deg, I 45, (0 2 4); 44.26 deg, I 40, (0 0 6); 56.26 deg, I 20, (2 0 4); 58.54 deg, I 18, (3 3 -3)

Structure:
```
data_Pr6In3Ag
_chemical_formula_sum 'Pr12 In6 Ag2'
_space_group_name_H-M_alt 'P 1 21/c 1'
_space_group_IT_number 14
_space_group_name_Hall '-P 2ybc'
_cell_length_a 5.448
_cell_length_b 9.534
_cell_length_c 13.421
_cell_angle_alpha 90.00
_cell_angle_beta 113.91
_cell_angle_gamma 90.00
loop_
_atom_site_label
_atom_site_fract_x
_atom_site_fract_y
_atom_site_fract_z
Pr1 0.085 0.169 0.085
Pr2 0.246 0.502 0.245
Pr3 0.412 0.168 0.412
In1 0.240 0.666 0.740
In2 0.500 0.000 0.000
Ag1 0.000 0.000 0.500
```

---

What did the fifth record say?
Diffraction record for AcTlBiO. The powder XRD pattern is simulated, not measured: it uses a structure optimized by DFT (PBE) and λ = 1.5418 Å (Cu Kα).
No peak broadening, texture or thermal motion is included.

Main lines, sorted by position (5 to 70 degrees two-theta):
28.27 deg, I 17, (0 0 6); 28.87 deg, I 100, (1 0 3); 34.64 deg, I 23, (1 0 5); 35.79 deg, I 39, (1 1 0); 46.22 deg, I 18, (1 1 6); 51.52 deg, I 14, (2 0 0); 59.69 deg, I 14, (1 0 11); 60.13 deg, I 27, (2 1 3)

Structure:
```
data_AcTlBiO
_chemical_formula_sum 'Ac2 Tl2 Bi2 O2'
_space_group_name_H-M_alt 'I 4 m m'
_space_group_IT_number 107
_space_group_name_Hall 'I 4 -2'
_cell_length_a 3.548
_cell_length_b 3.548
_cell_length_c 18.940
_cell_angle_alpha 90.00
_cell_angle_beta 90.00
_cell_angle_gamma 90.00
loop_
_atom_site_label
_atom_site_fract_x
_atom_site_fract_y
_atom_site_fract_z
Ac1 0.000 0.000 0.000
Tl1 0.000 0.000 0.280
Bi1 0.000 0.000 0.654
O1 0.000 0.000 0.472
```